No. 1
Diffraction record for U17O31. The powder diffractogram is calculated, not measured: it uses a GGA-PBE-relaxed structure and Cu Kα.
Lines closer than 0.1° are merged.

The 10 most intense peaks (2θ = 10–80°), by angle:
2θ 28.40, d 3.142, I = 100
2θ 28.43, d 3.139, I = 100
2θ 32.93, d 2.720, I = 77
2θ 47.21, d 1.925, I = 32
2θ 47.28, d 1.922, I = 64
2θ 56.03, d 1.641, I = 39
2θ 56.13, d 1.639, I = 47
2θ 58.83, d 1.570, I = 16
2θ 76.24, d 1.249, I = 16
2θ 76.31, d 1.248, I = 16

Atomic structure:
Unit cell a=8.6177 b=8.6177 c=22.0929 alpha=105.84 beta=105.84 gamma=25.74
Positions (direct):
U1 0.0000 0.0000 0.0000
U2 0.0624 0.0624 0.5870
U3 0.1150 0.1150 0.1736
U4 0.1746 0.1746 0.7638
U5 0.2379 0.2379 0.3544
U6 0.2958 0.2958 0.9400
U7 0.3457 0.3457 0.5271
U8 0.4099 0.4099 0.1173
U9 0.4684 0.4684 0.7085
U10 0.5214 0.5214 0.2947
U11 0.5815 0.5815 0.8802
U12 0.6437 0.6437 0.4680
U13 0.7036 0.7036 0.0610
U14 0.7645 0.7645 0.6470
U15 0.8194 0.8194 0.2346
U16 0.8786 0.8786 0.8222
U17 0.9401 0.9401 0.4136
O1 0.0093 0.0093 0.8964
O2 0.0357 0.0357 0.6828
O3 0.0722 0.0722 0.4844
O4 0.1301 0.1301 0.0740
O5 0.1652 0.1652 0.8775
O6 0.1922 0.1922 0.6612
O7 0.2175 0.2175 0.4533
O8 0.2402 0.2402 0.2510
O9 0.2712 0.2712 0.0340
O10 0.3061 0.3061 0.8372
O11 0.3437 0.3437 0.6306
O12 0.3662 0.3662 0.4282
O13 0.3913 0.3913 0.2201
O14 0.4276 0.4276 0.0143
O15 0.4535 0.4535 0.8081
O16 0.5117 0.5117 0.3973
O17 0.5478 0.5478 0.1989
O18 0.5787 0.5787 0.9836
O19 0.6007 0.6007 0.7794
O20 0.6252 0.6252 0.5736
O21 0.6556 0.6556 0.3584
O22 0.6893 0.6893 0.1605
O23 0.7471 0.7471 0.7491
O24 0.7731 0.7731 0.5429
O25 0.8107 0.8107 0.3386
O26 0.8349 0.8349 0.1301
O27 0.8587 0.8587 0.9274
O28 0.8942 0.8942 0.7211
O29 0.9282 0.9282 0.5233
O30 0.9586 0.9586 0.3080
O31 0.9843 0.9843 0.1044



No. 2
Diffraction record for UO3. The powder diffractogram is calculated, not measured: it uses a GGA-PBE-relaxed structure and Cu Kα.
Lines closer than 0.1° are merged.

The 10 most intense peaks (2θ = 10–80°), by angle:
2θ 21.44, d 4.144, I = 99
2θ 25.38, d 3.509, I = 57
2θ 26.64, d 3.346, I = 100
2θ 33.46, d 2.678, I = 42
2θ 34.45, d 2.603, I = 76
2θ 43.68, d 2.072, I = 20
2θ 45.51, d 1.993, I = 35
2θ 50.84, d 1.796, I = 41
2θ 51.90, d 1.762, I = 34
2θ 64.92, d 1.436, I = 24

Atomic structure:
Unit cell a=3.8060 b=7.0178 c=4.1445 alpha=90.00 beta=90.00 gamma=90.00
Positions (direct):
U1 0.0000 0.0000 0.0000
U2 0.5000 0.5000 0.0000
O1 0.0000 0.0000 0.5000
O2 0.0000 0.3370 0.0000
O3 0.0000 0.6630 0.0000
O4 0.5000 0.1630 0.0000
O5 0.5000 0.5000 0.5000
O6 0.5000 0.8370 0.0000



No. 3
Diffraction record for UO3. The powder diffractogram is calculated, not measured: it uses a GGA-PBE-relaxed structure and Cu Kα.
Lines closer than 0.1° are merged.

The 10 most intense peaks (2θ = 10–80°), by angle:
2θ 21.40, d 4.153, I = 63
2θ 27.03, d 3.299, I = 100
2θ 34.73, d 2.583, I = 81
2θ 47.75, d 1.905, I = 31
2θ 52.04, d 1.757, I = 39
2θ 52.89, d 1.731, I = 35
2θ 55.73, d 1.649, I = 14
2θ 60.38, d 1.533, I = 18
2θ 66.63, d 1.404, I = 19
2θ 73.30, d 1.292, I = 14

Atomic structure:
Unit cell a=3.8093 b=3.8093 c=4.1526 alpha=90.00 beta=90.00 gamma=120.00
Positions (direct):
U1 0.0000 0.0000 0.0000
O1 0.0000 0.0000 0.5000
O2 0.3333 0.6667 0.1131
O3 0.6667 0.3333 0.8869



No. 4
Diffraction record for UO3. The powder diffractogram is calculated, not measured: it uses a GGA-PBE-relaxed structure and Cu Kα.
Lines closer than 0.1° are merged.

The 10 most intense peaks (2θ = 10–80°), by angle:
2θ 23.34, d 3.811, I = 87
2θ 23.51, d 3.784, I = 38
2θ 26.18, d 3.404, I = 100
2θ 28.56, d 3.125, I = 29
2θ 29.09, d 3.069, I = 49
2θ 33.37, d 2.685, I = 27
2θ 34.47, d 2.602, I = 38
2θ 49.32, d 1.848, I = 40
2θ 51.33, d 1.780, I = 21
2θ 52.03, d 1.758, I = 34

Atomic structure:
Unit cell a=5.2485 b=5.5424 c=7.5683 alpha=90.00 beta=90.00 gamma=90.00
Positions (direct):
U1 0.2163 0.1219 0.1843
U2 0.2837 0.8781 0.6843
U3 0.7163 0.3781 0.8157
U4 0.7837 0.6219 0.3157
O1 0.0330 0.8588 0.0943
O2 0.0683 0.6170 0.7475
O3 0.0836 0.8677 0.4278
O4 0.4164 0.1323 0.9278
O5 0.4317 0.3830 0.2475
O6 0.4670 0.1412 0.5943
O7 0.5330 0.6412 0.9057
O8 0.5683 0.8830 0.2525
O9 0.5836 0.6323 0.5722
O10 0.9164 0.3677 0.0722
O11 0.9317 0.1170 0.7525
O12 0.9670 0.3588 0.4057